Rb3Mn2Cl7: calculated XRD peak list (copper Kα), based on a structure optimized by DFT (PBE).

Principal peaks in the range 2θ from 10° to 80°, in order of rising 2θ:
| 2theta | d/Å | I/Imax | hkl |
| --- | --- | --- | --- |
| 24.24 | 3.672 | 72 | 1 0 5 |
| 24.69 | 3.606 | 69 | 1 1 0 |
| 32.07 | 2.791 | 70 | 1 1 6 |
| 33.89 | 2.645 | 36 | 0 0 10 |
| 35.20 | 2.550 | 100 | 2 0 0 |
| 43.20 | 2.094 | 32 | 2 1 5 |
| 49.66 | 1.836 | 44 | 2 0 10 |
| 50.63 | 1.803 | 35 | 2 2 0 |

Crystal structure
abc: 5.0998 5.0998 26.4512
angles: 90.00 90.00 90.00
Space group I4/mmm (No. 139)
Asymmetric unit:
Rb  0.0000  0.0000  0.0000 x2
Rb  0.0000  0.0000  0.1831 x4
Mn  0.0000  0.0000  0.4016 x4
Cl  0.0000  0.0000  0.3072 x4
Cl  0.0000  0.0000  0.5000 x2
Cl  0.0000  0.5000  0.0960 x8